(1)
Structure and calculated powder diffraction line list of Ac3InPb (a cell relaxed with GGA-PBE; Cu Kα (λ = 1.5418 Å)).

a = 4.5017 Å, b = 8.8860 Å, c = 10.2638 Å
α = 104.44°, β = 90.01°, γ = 104.66°
Element x y z (fractional)
Ac 0.0669 0.1339 0.3971
Ac 0.1332 0.2663 0.9734
Ac 0.2562 0.5130 0.6819
Ac 0.7438 0.4870 0.3181
Ac 0.8668 0.7337 0.0266
Ac 0.9331 0.8661 0.6029
In 0.4613 0.9213 0.8556
In 0.5387 0.0787 0.1444
Pb 0.3979 0.7957 0.3104
Pb 0.6021 0.2043 0.6896

Largest 8 diffraction maxima, in order of rising 2θ, 5° ≤ 2θ ≤ 70°:
- 2θ = 26.97°, d = 3.306 Å, I = 28
- 2θ = 28.21°, d = 3.164 Å, I = 30
- 2θ = 28.44°, d = 3.139 Å, I = 84
- 2θ = 28.77°, d = 3.103 Å, I = 100
- 2θ = 31.22°, d = 2.865 Å, I = 33
- 2θ = 33.70°, d = 2.659 Å, I = 18
- 2θ = 35.00°, d = 2.564 Å, I = 18
- 2θ = 40.06°, d = 2.251 Å, I = 30


(2)
Structure and calculated powder diffraction line list of BaCr2SiBi (a cell relaxed with GGA-PBE; Cu Kα (λ = 1.5418 Å)).

a = 5.7268 Å, b = 5.7268 Å, c = 6.2585 Å
α = 90.00°, β = 90.00°, γ = 90.00°
Element x y z (fractional)
Ba 0.0000 0.0000 0.0000
Cr 0.0000 0.5000 0.0000
Cr 0.5000 0.0000 0.0000
Si 0.5000 0.5000 0.5000
Bi 0.0000 0.0000 0.5000

Largest 8 diffraction maxima, in order of rising 2θ, 5° ≤ 2θ ≤ 70°:
- 2θ = 15.47°, d = 5.727 Å, I = 100
- 2θ = 21.95°, d = 4.049 Å, I = 32
- 2θ = 26.21°, d = 3.400 Å, I = 29
- 2θ = 28.52°, d = 3.129 Å, I = 29
- 2θ = 31.24°, d = 2.863 Å, I = 46
- 2θ = 32.61°, d = 2.746 Å, I = 34
- 2θ = 35.04°, d = 2.561 Å, I = 28
- 2θ = 42.81°, d = 2.112 Å, I = 38


(3)
Structure and calculated powder diffraction line list of AsPCl2 (a cell relaxed with GGA-PBE; Cu Kα (λ = 1.5418 Å)).

a = 4.1424 Å, b = 3.7099 Å, c = 7.6141 Å
α = 90.00°, β = 92.06°, γ = 90.00°
Element x y z (fractional)
As 0.0000 0.0000 0.0000
P 0.6146 0.5000 0.0183
Cl 0.6088 0.5000 0.2910
Cl 0.9979 0.0000 0.7104

Largest 8 diffraction maxima, in order of rising 2θ, 5° ≤ 2θ ≤ 70°:
- 2θ = 11.63°, d = 7.609 Å, I = 100
- 2θ = 21.47°, d = 4.140 Å, I = 17
- 2θ = 24.85°, d = 3.583 Å, I = 26
- 2θ = 26.73°, d = 3.335 Å, I = 27
- 2θ = 32.41°, d = 2.763 Å, I = 59
- 2θ = 34.26°, d = 2.617 Å, I = 22
- 2θ = 35.39°, d = 2.536 Å, I = 19
- 2θ = 49.36°, d = 1.846 Å, I = 15


(4)
Structure and calculated powder diffraction line list of MnAg2Pb4 (a cell relaxed with GGA-PBE; Cu Kα (λ = 1.5418 Å)).

a = 5.3191 Å, b = 5.3191 Å, c = 14.0275 Å
α = 90.00°, β = 90.00°, γ = 90.00°
Element x y z (fractional)
Mn 0.0000 0.0000 0.0000
Mn 0.5000 0.5000 0.5000
Ag 0.0000 0.0000 0.3884
Ag 0.0000 0.0000 0.6116
Ag 0.5000 0.5000 0.1116
Ag 0.5000 0.5000 0.8884
Pb 0.0000 0.0000 0.1895
Pb 0.0000 0.0000 0.8105
Pb 0.0000 0.5000 0.0000
Pb 0.0000 0.5000 0.5000
Pb 0.5000 0.0000 0.0000
Pb 0.5000 0.0000 0.5000
Pb 0.5000 0.5000 0.3105
Pb 0.5000 0.5000 0.6895

Largest 8 diffraction maxima, in order of rising 2θ, 5° ≤ 2θ ≤ 70°:
- 2θ = 26.90°, d = 3.315 Å, I = 100
- 2θ = 33.70°, d = 2.660 Å, I = 92
- 2θ = 34.98°, d = 2.565 Å, I = 41
- 2θ = 36.19°, d = 2.482 Å, I = 59
- 2θ = 48.40°, d = 1.881 Å, I = 34
- 2θ = 50.29°, d = 1.814 Å, I = 44
- 2θ = 52.09°, d = 1.756 Å, I = 18
- 2θ = 56.24°, d = 1.636 Å, I = 28


(5)
Structure and calculated powder diffraction line list of ScNb3Ru (a cell relaxed with GGA-PBE; Cu Kα (λ = 1.5418 Å)).

a = 4.8412 Å, b = 4.8412 Å, c = 4.8412 Å
α = 90.00°, β = 90.00°, γ = 90.00°
Element x y z (fractional)
Sc 0.0000 0.0000 0.0000
Nb 0.0000 0.5000 0.5000
Nb 0.5000 0.0000 0.5000
Nb 0.5000 0.5000 0.0000
Ru 0.5000 0.5000 0.5000

Largest 8 diffraction maxima, in order of rising 2θ, 5° ≤ 2θ ≤ 70°:
- 2θ = 18.33°, d = 4.841 Å, I = 76
- 2θ = 32.02°, d = 2.795 Å, I = 56
- 2θ = 37.14°, d = 2.421 Å, I = 100
- 2θ = 41.72°, d = 2.165 Å, I = 36
- 2θ = 53.54°, d = 1.712 Å, I = 67
- 2θ = 57.07°, d = 1.614 Å, I = 18
- 2θ = 63.76°, d = 1.460 Å, I = 21
- 2θ = 66.96°, d = 1.398 Å, I = 22


(6)
Structure and calculated powder diffraction line list of CeZrB2O8 (a cell relaxed with GGA-PBE; Cu Kα (λ = 1.5418 Å)).

a = 6.3942 Å, b = 6.3942 Å, c = 6.3942 Å
α = 137.61°, β = 137.61°, γ = 61.51°
Element x y z (fractional)
Ce 0.0000 0.0000 0.0000
Zr 0.2500 0.7500 0.5000
B 0.5000 0.5000 0.0000
B 0.7500 0.2500 0.5000
O 0.3139 0.6699 0.1335
O 0.3301 0.4637 0.6441
O 0.4382 0.0493 0.1211
O 0.5363 0.1804 0.8665
O 0.6829 0.5618 0.6111
O 0.8196 0.6861 0.3559
O 0.9282 0.3171 0.8789
O 0.9507 0.0718 0.3889

Largest 8 diffraction maxima, in order of rising 2θ, 5° ≤ 2θ ≤ 70°:
- 2θ = 20.84°, d = 4.262 Å, I = 83
- 2θ = 31.15°, d = 2.871 Å, I = 23
- 2θ = 31.85°, d = 2.810 Å, I = 100
- 2θ = 44.59°, d = 2.032 Å, I = 41
- 2θ = 45.70°, d = 1.985 Å, I = 23
- 2θ = 50.69°, d = 1.801 Å, I = 32
- 2θ = 51.67°, d = 1.769 Å, I = 26
- 2θ = 66.13°, d = 1.413 Å, I = 23


(7)
Structure and calculated powder diffraction line list of Li2Cu4Pd5 (a cell relaxed with GGA-PBE; Cu Kα (λ = 1.5418 Å)).

a = 6.7587 Å, b = 15.2379 Å, c = 2.8600 Å
α = 90.00°, β = 90.00°, γ = 90.00°
Element x y z (fractional)
Li 0.0285 0.1948 0.0000
Li 0.4715 0.6948 0.0000
Li 0.5285 0.3052 0.0000
Li 0.9715 0.8052 0.0000
Cu 0.0831 0.6465 0.0000
Cu 0.2142 0.9311 0.0000
Cu 0.2858 0.4311 0.0000
Cu 0.4169 0.1465 0.0000
Cu 0.5831 0.8535 0.0000
Cu 0.7142 0.5689 0.0000
Cu 0.7858 0.0689 0.0000
Cu 0.9169 0.3535 0.0000
Pd 0.0000 0.5000 0.5000
Pd 0.1249 0.0721 0.5000
Pd 0.2326 0.2862 0.5000
Pd 0.2674 0.7862 0.5000
Pd 0.3751 0.5721 0.5000
Pd 0.5000 0.0000 0.5000
Pd 0.6249 0.4279 0.5000
Pd 0.7326 0.2138 0.5000
Pd 0.7674 0.7138 0.5000
Pd 0.8751 0.9279 0.5000

Largest 8 diffraction maxima, in order of rising 2θ, 5° ≤ 2θ ≤ 70°:
- 2θ = 39.40°, d = 2.287 Å, I = 26
- 2θ = 40.47°, d = 2.229 Å, I = 21
- 2θ = 41.69°, d = 2.166 Å, I = 100
- 2θ = 41.81°, d = 2.161 Å, I = 66
- 2θ = 43.10°, d = 2.099 Å, I = 62
- 2θ = 43.69°, d = 2.072 Å, I = 28
- 2θ = 45.21°, d = 2.006 Å, I = 26
- 2θ = 65.26°, d = 1.430 Å, I = 26


(8)
Structure and calculated powder diffraction line list of FePd2Pt8 (a cell relaxed with GGA-PBE; Cu Kα (λ = 1.5418 Å)).

a = 7.3931 Å, b = 7.3931 Å, c = 6.2492 Å
α = 104.68°, β = 104.68°, γ = 30.83°
Element x y z (fractional)
Fe 0.0000 0.0000 0.0000
Pd 0.2756 0.2756 0.3674
Pd 0.7244 0.7244 0.6326
Pt 0.0894 0.0894 0.4404
Pt 0.1796 0.1796 0.9106
Pt 0.3677 0.3677 0.8273
Pt 0.4556 0.4556 0.2706
Pt 0.5444 0.5444 0.7294
Pt 0.6323 0.6323 0.1727
Pt 0.8204 0.8204 0.0894
Pt 0.9106 0.9106 0.5596

Largest 8 diffraction maxima, in order of rising 2θ, 5° ≤ 2θ ≤ 70°:
- 2θ = 22.01°, d = 4.038 Å, I = 2
- 2θ = 25.91°, d = 3.438 Å, I = 2
- 2θ = 26.92°, d = 3.312 Å, I = 3
- 2θ = 39.56°, d = 2.278 Å, I = 100
- 2θ = 45.91°, d = 1.976 Å, I = 33
- 2θ = 46.19°, d = 1.965 Å, I = 16
- 2θ = 66.95°, d = 1.398 Å, I = 10
- 2θ = 67.17°, d = 1.394 Å, I = 21